[1]
LiHfMg6: calculated powder XRD pattern (Cu Kα, 1.54184 Å), based on a cell relaxed with GGA-PBE.
Peak positions follow from Bragg's law for the DFT cell and can differ from measured ones.

Principal peaks in the range 5° ≤ 2θ ≤ 70°, by angle:
2θ = 15.9°, intensity 100, (0 1 1); 2θ = 16.2°, intensity 28, (0 0 2); 2θ = 17.6°, intensity 22, (1 0 0); 2θ = 23.8°, intensity 78, (1 1 1); 2θ = 24.0°, intensity 21, (1 0 2); 2θ = 28.1°, intensity 26, (0 1 3); 2θ = 32.2°, intensity 26, (0 2 2); 2θ = 33.3°, intensity 34, (1 1 3); 2θ = 35.7°, intensity 27, (2 0 0); 2θ = 36.9°, intensity 78, (1 2 2); 2θ = 37.4°, intensity 37, (1 0 4); 2θ = 39.3°, intensity 22, (2 1 1)

Unit cell a=5.035 b=6.452 c=10.950 alpha=90.00 beta=90.00 gamma=90.00
Space group Amm2 (No. 38)
Asymmetric unit:
Li: 0.000 0.000 0.000
Hf: 0.000 0.000 0.499
Mg: 0.000 0.245 0.246
Mg: 0.500 0.000 0.333
Mg: 0.500 0.000 0.832
Mg: 0.500 0.249 0.579

***

[2]
Sr9Cr2N8: calculated powder XRD pattern (Cu Kα, 1.54184 Å), based on a cell relaxed with GGA-PBE.
Peak positions follow from Bragg's law for the DFT cell and can differ from measured ones.

Principal peaks in the range 5° ≤ 2θ ≤ 70°, by angle:
2θ = 11.6°, intensity 19, (2 0 -1); 2θ = 27.3°, intensity 77, (1 1 -2); 2θ = 28.0°, intensity 100, (5 1 -1); 2θ = 30.2°, intensity 58, (1 1 2); 2θ = 31.1°, intensity 16, (5 1 -2); 2θ = 32.2°, intensity 32, (4 0 -3); 2θ = 34.2°, intensity 86, (0 2 0); 2θ = 34.7°, intensity 31, (6 0 1); 2θ = 35.4°, intensity 29, (6 0 -3); 2θ = 47.7°, intensity 20, (4 2 -3); 2θ = 50.1°, intensity 21, (6 2 -3); 2θ = 56.9°, intensity 22, (5 1 -5)

Unit cell a=20.187 b=5.242 c=8.510 alpha=90.00 beta=112.13 gamma=90.00
Space group C2/m (No. 12)
Asymmetric unit:
Sr: 0.000 0.000 0.000
Sr: 0.040 0.500 0.741
Sr: 0.087 0.000 0.491
Sr: 0.174 0.000 0.948
Sr: 0.196 0.500 0.327
Cr: 0.192 0.500 0.697
N: 0.036 0.000 0.744
N: 0.114 0.500 0.515
N: 0.184 0.500 0.890
N: 0.225 0.000 0.319

***

[3]
Na3Zr2Si2PO12: calculated powder XRD pattern (Cu Kα, 1.54184 Å), based on a cell relaxed with GGA-PBE.
Peak positions follow from Bragg's law for the DFT cell and can differ from measured ones.

Principal peaks in the range 5° ≤ 2θ ≤ 70°, by angle:
2θ = 13.5°, intensity 49, (1 0 1); 2θ = 18.9°, intensity 85, (0 1 -1); 2θ = 19.0°, intensity 44, (1 1 2); 2θ = 19.3°, intensity 100, (1 2 1); 2θ = 22.5°, intensity 43, (-1 1 1); 2θ = 27.1°, intensity 46, (2 0 2); 2θ = 27.2°, intensity 30, (0 2 2); 2θ = 30.1°, intensity 54, (1 2 -1); 2θ = 30.3°, intensity 96, (2 1 3); 2θ = 33.7°, intensity 47, (0 3 1); 2θ = 33.8°, intensity 28, (3 3 2); 2θ = 46.0°, intensity 33, (2 4 4)

Unit cell a=9.192 b=9.202 c=9.349 alpha=60.91 beta=60.62 gamma=60.17
Space group P1 (No. 1)
Asymmetric unit:
Na: 0.000 0.000 0.000
Na: 0.038 0.068 0.327
Na: 0.269 0.693 0.583
Na: 0.429 0.418 0.298
Na: 0.552 0.285 0.845
Na: 0.675 0.798 0.321
Zr: 0.139 0.532 0.015
Zr: 0.449 0.822 0.124
Zr: 0.653 0.025 0.512
Zr: 0.943 0.325 0.629
Si: 0.050 0.711 0.325
Si: 0.331 0.138 0.317
Si: 0.748 0.427 0.332
Si: 0.846 0.924 0.815
P: 0.256 0.217 0.821
P: 0.542 0.633 0.816
O: 0.028 0.754 0.832
O: 0.036 0.532 0.487
O: 0.071 0.690 0.150
O: 0.088 0.243 0.800
O: 0.142 0.175 0.475
O: 0.220 0.747 0.300
O: 0.247 0.383 0.834
O: 0.277 0.057 0.989
O: 0.318 0.310 0.141
O: 0.359 0.957 0.296
O: 0.384 0.603 0.827
O: 0.422 0.177 0.664
O: 0.497 0.669 0.983
O: 0.502 0.101 0.358
O: 0.574 0.602 0.296
O: 0.578 0.794 0.654
O: 0.671 0.890 0.986
O: 0.706 0.464 0.804
O: 0.716 0.256 0.355
O: 0.766 0.415 0.503
O: 0.813 0.962 0.641
O: 0.858 0.100 0.807
O: 0.874 0.892 0.341
O: 0.933 0.442 0.169

***

[4]
Mg2B2AsIr5: calculated powder XRD pattern (Cu Kα, 1.54184 Å), based on a cell relaxed with GGA-PBE.
Peak positions follow from Bragg's law for the DFT cell and can differ from measured ones.

Principal peaks in the range 5° ≤ 2θ ≤ 70°, by angle:
2θ = 20.9°, intensity 34, (2 1 0); 2θ = 29.8°, intensity 25, (3 1 0); 2θ = 29.9°, intensity 57, (0 0 1); 2θ = 34.1°, intensity 36, (3 2 0); 2θ = 36.8°, intensity 26, (2 1 1); 2θ = 37.9°, intensity 14, (4 0 0); 2θ = 39.1°, intensity 48, (4 1 0); 2θ = 40.4°, intensity 23, (2 2 1); 2θ = 42.7°, intensity 100, (4 2 0); 2θ = 45.9°, intensity 37, (3 2 1); 2θ = 50.0°, intensity 34, (4 1 1); 2θ = 52.9°, intensity 17, (4 2 1)

Unit cell a=9.488 b=9.488 c=2.989 alpha=90.00 beta=90.00 gamma=90.00
Space group P4/mbm (No. 127)
Asymmetric unit:
Mg: 0.175 0.325 0.000
B: 0.124 0.624 0.000
As: 0.000 0.000 0.000
Ir: 0.000 0.500 0.500
Ir: 0.073 0.784 0.500